Diffraction record for Pm6ScTe8. The X-ray diffraction stick pattern is theoretical, not measured: it uses a cell relaxed with PBE and a wavelength of 1.5418 Å.
Peak positions follow from Bragg's law for the DFT cell and can differ from measured ones.

Atomic structure:
Cell: 8.8762 8.8762 8.8762 Å, 60.00 60.00 60.00°
Element x y z (fractional)
Pm 0.0000 0.0000 0.5000
Pm 0.0000 0.5000 0.0000
Pm 0.0000 0.5000 0.5000
Pm 0.5000 0.0000 0.0000
Pm 0.5000 0.0000 0.5000
Pm 0.5000 0.5000 0.0000
Sc 0.0000 0.0000 0.0000
Te 0.2430 0.2430 0.7570
Te 0.2430 0.7570 0.2430
Te 0.2430 0.7570 0.7570
Te 0.2500 0.2500 0.2500
Te 0.7500 0.7500 0.7500
Te 0.7570 0.2430 0.2430
Te 0.7570 0.2430 0.7570
Te 0.7570 0.7570 0.2430

Most intense lines, 10° ≤ 2θ ≤ 90°, by angle:
2θ 14.1, rel. 9
2θ 20.0, rel. 8
2θ 28.4, rel. 100
2θ 31.9, rel. 5
2θ 40.7, rel. 76
2θ 50.4, rel. 27
2θ 58.9, rel. 13
2θ 66.6, rel. 34
2θ 74.0, rel. 25
2θ 88.0, rel. 8

Diffraction record for PmSc4Te6. The X-ray diffraction stick pattern is theoretical, not measured: it uses a cell relaxed with PBE and a wavelength of 1.5418 Å.
Peak positions follow from Bragg's law for the DFT cell and can differ from measured ones.

Atomic structure:
Cell: 7.1694 7.1694 21.4355 Å, 90.00 90.00 146.23°
Element x y z (fractional)
Pm 0.1512 0.8488 0.7500
Pm 0.8488 0.1512 0.2500
Sc 0.0931 0.9069 0.1228
Sc 0.0931 0.9069 0.3772
Sc 0.3538 0.6462 0.0339
Sc 0.3538 0.6462 0.4661
Sc 0.6462 0.3538 0.5339
Sc 0.6462 0.3538 0.9661
Sc 0.9069 0.0931 0.6228
Sc 0.9069 0.0931 0.8772
Te 0.0000 0.0000 0.0000
Te 0.0000 0.0000 0.5000
Te 0.1769 0.8231 0.2500
Te 0.2650 0.7350 0.5920
Te 0.2650 0.7350 0.9080
Te 0.4522 0.5478 0.1585
Te 0.4522 0.5478 0.3415
Te 0.5478 0.4522 0.6585
Te 0.5478 0.4522 0.8415
Te 0.7350 0.2650 0.0920
Te 0.7350 0.2650 0.4080
Te 0.8231 0.1769 0.7500

Most intense lines, 10° ≤ 2θ ≤ 90°, by angle:
2θ 27.9, rel. 43
2θ 28.2, rel. 86
2θ 29.3, rel. 31
2θ 30.2, rel. 100
2θ 31.6, rel. 50
2θ 42.9, rel. 21
2θ 43.0, rel. 27
2θ 43.5, rel. 34
2θ 44.9, rel. 25
2θ 52.6, rel. 35

Diffraction record for PmTh7Sc2. The X-ray diffraction stick pattern is theoretical, not measured: it uses a cell relaxed with PBE and a wavelength of 1.5418 Å.
Peak positions follow from Bragg's law for the DFT cell and can differ from measured ones.

Atomic structure:
Cell: 9.3278 9.3278 7.0438 Å, 101.03 101.03 30.97°
Element x y z (fractional)
Pm 0.0000 0.0000 0.0000
Th 0.0000 0.0000 0.5000
Th 0.2019 0.2019 0.1035
Th 0.3951 0.3951 0.6916
Th 0.3989 0.3989 0.2000
Th 0.6011 0.6011 0.8000
Th 0.6049 0.6049 0.3084
Th 0.7981 0.7981 0.8965
Sc 0.1987 0.1987 0.5972
Sc 0.8013 0.8013 0.4028

Most intense lines, 10° ≤ 2θ ≤ 90°, by angle:
2θ 31.1, rel. 100
2θ 36.1, rel. 51
2θ 51.9, rel. 36
2θ 61.7, rel. 29
2θ 61.8, rel. 14
2θ 64.8, rel. 12
2θ 84.8, rel. 12
2θ 84.9, rel. 6
2θ 87.5, rel. 6
2θ 87.6, rel. 7

Diffraction record for PmThSc5. The X-ray diffraction stick pattern is theoretical, not measured: it uses a cell relaxed with PBE and a wavelength of 1.5418 Å.
Peak positions follow from Bragg's law for the DFT cell and can differ from measured ones.

Atomic structure:
Cell: 6.1788 6.1788 10.7277 Å, 103.26 103.26 96.47°
Element x y z (fractional)
Pm 0.0000 0.5000 0.0000
Pm 0.5000 0.0000 0.5000
Th 0.2401 0.7599 0.7500
Th 0.7599 0.2401 0.2500
Sc 0.0484 0.1998 0.6633
Sc 0.1998 0.0484 0.1633
Sc 0.2301 0.4265 0.4639
Sc 0.4158 0.5842 0.2500
Sc 0.4265 0.2301 0.9639
Sc 0.5735 0.7699 0.0361
Sc 0.5842 0.4158 0.7500
Sc 0.7699 0.5735 0.5361
Sc 0.8002 0.9516 0.8367
Sc 0.9516 0.8002 0.3367

Most intense lines, 10° ≤ 2θ ≤ 90°, by angle:
2θ 19.3, rel. 75
2θ 23.7, rel. 29
2θ 26.8, rel. 45
2θ 30.7, rel. 38
2θ 33.7, rel. 100
2θ 34.2, rel. 29
2θ 35.7, rel. 15
2θ 38.7, rel. 19
2θ 40.8, rel. 15
2θ 51.3, rel. 14

What did the first record say?
Diffraction record for Pm6ScTe8. The X-ray diffraction stick pattern is theoretical, not measured: it uses a cell relaxed with PBE and a wavelength of 1.5418 Å.
Peak positions follow from Bragg's law for the DFT cell and can differ from measured ones.

Atomic structure:
Cell: 8.8762 8.8762 8.8762 Å, 60.00 60.00 60.00°
Element x y z (fractional)
Pm 0.0000 0.0000 0.5000
Pm 0.0000 0.5000 0.0000
Pm 0.0000 0.5000 0.5000
Pm 0.5000 0.0000 0.0000
Pm 0.5000 0.0000 0.5000
Pm 0.5000 0.5000 0.0000
Sc 0.0000 0.0000 0.0000
Te 0.2430 0.2430 0.7570
Te 0.2430 0.7570 0.2430
Te 0.2430 0.7570 0.7570
Te 0.2500 0.2500 0.2500
Te 0.7500 0.7500 0.7500
Te 0.7570 0.2430 0.2430
Te 0.7570 0.2430 0.7570
Te 0.7570 0.7570 0.2430

Most intense lines, 10° ≤ 2θ ≤ 90°, by angle:
2θ 14.1, rel. 9
2θ 20.0, rel. 8
2θ 28.4, rel. 100
2θ 31.9, rel. 5
2θ 40.7, rel. 76
2θ 50.4, rel. 27
2θ 58.9, rel. 13
2θ 66.6, rel. 34
2θ 74.0, rel. 25
2θ 88.0, rel. 8